# 1
Structure and simulated powder diffraction line list of Gd3Cu2Te7 (a structure optimized by DFT (GGA-PBE); λ = 1.5418 Å (Cu Kα)).

Structural model:
Unit cell a=6.079 b=11.198 c=11.198 alpha=118.48 beta=90.00 gamma=90.00
Fractional positions:
Gd1 0.250 0.089 0.911
Gd2 0.250 0.117 0.405
Gd3 0.250 0.589 0.878
Gd4 0.750 0.405 0.117
Gd5 0.750 0.878 0.589
Gd6 0.750 0.911 0.089
Cu1 0.250 0.264 0.737
Cu2 0.250 0.791 0.347
Cu3 0.750 0.347 0.791
Cu4 0.750 0.737 0.264
Te1 0.000 0.194 0.194
Te2 0.000 0.380 0.617
Te3 0.000 0.617 0.380
Te4 0.000 0.805 0.805
Te5 0.250 0.393 0.002
Te6 0.250 0.847 0.152
Te7 0.250 0.995 0.603
Te8 0.500 0.194 0.194
Te9 0.500 0.380 0.617
Te10 0.500 0.617 0.380
Te11 0.500 0.805 0.805
Te12 0.750 0.002 0.393
Te13 0.750 0.152 0.847
Te14 0.750 0.603 0.995

Main lines, low angle first (5° ≤ 2θ ≤ 70°):
2θ = 30.83°, I 100; 2θ = 31.24°, I 80; 2θ = 31.54°, I 41; 2θ = 31.98°, I 70; 2θ = 33.55°, I 37; 2θ = 36.52°, I 37; 2θ = 38.13°, I 63; 2θ = 38.39°, I 61

# 2
Structure and simulated powder diffraction line list of BaDySnSbO6 (a structure optimized by DFT (GGA-PBE); λ = 1.5418 Å (Cu Kα)).

Structural model:
Unit cell a=5.980 b=5.980 c=5.980 alpha=60.00 beta=60.00 gamma=60.00
Fractional positions:
Ba1 0.000 0.000 0.000
Dy1 0.250 0.250 0.250
Sn1 0.500 0.500 0.500
Sb1 0.750 0.750 0.750
O1 0.513 0.513 0.987
O2 0.513 0.987 0.513
O3 0.513 0.987 0.987
O4 0.987 0.513 0.513
O5 0.987 0.513 0.987
O6 0.987 0.987 0.513

Main lines, low angle first (5° ≤ 2θ ≤ 70°):
2θ = 18.17°, I 1; 2θ = 21.01°, I 2; 2θ = 29.88°, I 100; 2θ = 35.20°, I 1; 2θ = 36.82°, I 1; 2θ = 42.77°, I 30; 2θ = 53.05°, I 41; 2θ = 62.09°, I 19

# 3
Structure and simulated powder diffraction line list of Cs2ZrSi3O9 (a structure optimized by DFT (GGA-PBE); λ = 1.5418 Å (Cu Kα)).

Structural model:
Unit cell a=7.332 b=7.332 c=10.439 alpha=90.00 beta=90.00 gamma=120.00
Fractional positions:
Cs1 0.333 0.667 0.064
Cs2 0.333 0.667 0.436
Cs3 0.667 0.333 0.564
Cs4 0.667 0.333 0.936
Zr1 0.000 0.000 0.000
Zr2 0.000 0.000 0.500
Si1 0.154 0.390 0.750
Si2 0.235 0.846 0.750
Si3 0.390 0.235 0.250
Si4 0.610 0.765 0.750
Si5 0.765 0.154 0.250
Si6 0.846 0.610 0.250
O1 0.063 0.260 0.618
O2 0.063 0.260 0.882
O3 0.095 0.583 0.750
O4 0.197 0.937 0.618
O5 0.197 0.937 0.882
O6 0.260 0.197 0.118
O7 0.260 0.197 0.382
O8 0.417 0.512 0.750
O9 0.488 0.905 0.750
O10 0.512 0.095 0.250
O11 0.583 0.488 0.250
O12 0.740 0.803 0.618
O13 0.740 0.803 0.882
O14 0.803 0.063 0.118
O15 0.803 0.063 0.382
O16 0.905 0.417 0.250
O17 0.937 0.740 0.118
O18 0.937 0.740 0.382

Main lines, low angle first (5° ≤ 2θ ≤ 70°):
2θ = 24.28°, I 82; 2θ = 29.27°, I 75; 2θ = 29.40°, I 38; 2θ = 29.78°, I 100; 2θ = 38.38°, I 20; 2θ = 46.29°, I 31; 2θ = 49.74°, I 21; 2θ = 58.77°, I 20

# 4
Structure and simulated powder diffraction line list of Ce2Ta2O9 (a structure optimized by DFT (GGA-PBE); λ = 1.5418 Å (Cu Kα)).

Structural model:
Unit cell a=6.538 b=3.864 c=15.637 alpha=90.00 beta=114.24 gamma=90.00
Fractional positions:
Ce1 0.198 0.008 0.216
Ce2 0.198 0.492 0.716
Ce3 0.802 0.508 0.284
Ce4 0.802 0.992 0.784
Ta1 0.263 0.504 0.041
Ta2 0.263 0.996 0.541
Ta3 0.737 0.004 0.459
Ta4 0.737 0.496 0.959
O1 0.010 0.502 0.916
O2 0.010 0.998 0.416
O3 0.152 0.505 0.282
O4 0.152 0.995 0.782
O5 0.248 0.001 0.058
O6 0.248 0.499 0.558
O7 0.437 0.502 0.181
O8 0.437 0.998 0.681
O9 0.500 0.000 0.500
O10 0.500 0.500 0.000
O11 0.563 0.002 0.319
O12 0.563 0.498 0.819
O13 0.752 0.501 0.442
O14 0.752 0.999 0.942
O15 0.848 0.005 0.218
O16 0.848 0.495 0.718
O17 0.990 0.002 0.584
O18 0.990 0.498 0.084

Main lines, low angle first (5° ≤ 2θ ≤ 70°):
2θ = 14.94°, I 54; 2θ = 23.04°, I 74; 2θ = 23.86°, I 76; 2θ = 29.68°, I 100; 2θ = 29.80°, I 78; 2θ = 29.98°, I 67; 2θ = 36.54°, I 64; 2θ = 47.06°, I 66

# 5
Structure and simulated powder diffraction line list of SiO2 (a structure optimized by DFT (GGA-PBE); λ = 1.5418 Å (Cu Kα)).

Structural model:
Unit cell a=8.997 b=8.997 c=5.275 alpha=90.00 beta=90.00 gamma=130.25
Fractional positions:
Si1 0.057 0.943 0.750
Si2 0.097 0.490 0.250
Si3 0.490 0.097 0.750
Si4 0.510 0.903 0.250
Si5 0.903 0.510 0.750
Si6 0.943 0.057 0.250
O1 0.000 0.000 0.000
O2 0.000 0.000 0.500
O3 0.000 0.500 0.000
O4 0.000 0.500 0.500
O5 0.063 0.290 0.250
O6 0.290 0.063 0.750
O7 0.330 0.670 0.250
O8 0.500 0.000 0.000
O9 0.500 0.000 0.500
O10 0.670 0.330 0.750
O11 0.710 0.937 0.250
O12 0.937 0.710 0.750

Main lines, low angle first (5° ≤ 2θ ≤ 70°):
2θ = 10.84°, I 31; 2θ = 12.89°, I 38; 2θ = 20.05°, I 100; 2θ = 25.95°, I 37; 2θ = 26.31°, I 16; 2θ = 33.99°, I 6; 2θ = 36.59°, I 9; 2θ = 53.31°, I 5

# 6
Structure and simulated powder diffraction line list of BaBe2P2O8 (a structure optimized by DFT (GGA-PBE); λ = 1.5418 Å (Cu Kα)).

Structural model:
Unit cell a=5.109 b=5.109 c=7.500 alpha=90.00 beta=90.00 gamma=120.00
Fractional positions:
Ba1 0.000 0.000 0.000
Be1 0.333 0.667 0.702
Be2 0.667 0.333 0.298
P1 0.333 0.667 0.292
P2 0.667 0.333 0.708
O1 0.008 0.504 0.212
O2 0.333 0.667 0.492
O3 0.496 0.504 0.212
O4 0.496 0.992 0.212
O5 0.504 0.008 0.788
O6 0.504 0.496 0.788
O7 0.667 0.333 0.508
O8 0.992 0.496 0.788

Main lines, low angle first (5° ≤ 2θ ≤ 70°):
2θ = 11.80°, I 30; 2θ = 23.34°, I 100; 2θ = 31.27°, I 60; 2θ = 35.13°, I 29; 2θ = 41.49°, I 18; 2θ = 42.61°, I 27; 2θ = 56.37°, I 16; 2θ = 60.63°, I 17

# 7
Structure and simulated powder diffraction line list of Eu2ZnIn (a structure optimized by DFT (GGA-PBE); λ = 1.5418 Å (Cu Kα)).

Structural model:
Unit cell a=5.504 b=5.504 c=5.504 alpha=60.00 beta=60.00 gamma=60.00
Fractional positions:
Eu1 0.250 0.250 0.250
Eu2 0.750 0.750 0.750
Zn1 0.000 0.000 0.000
In1 0.500 0.500 0.500

Main lines, low angle first (5° ≤ 2θ ≤ 70°):
2θ = 19.76°, I 2; 2θ = 22.85°, I 6; 2θ = 32.54°, I 100; 2θ = 40.13°, I 2; 2θ = 46.68°, I 18; 2θ = 52.59°, I 3; 2θ = 58.06°, I 37; 2θ = 68.15°, I 11

# 8
Structure and simulated powder diffraction line list of VTe (a structure optimized by DFT (GGA-PBE); λ = 1.5418 Å (Cu Kα)).

Structural model:
Unit cell a=4.116 b=4.116 c=6.049 alpha=90.00 beta=90.00 gamma=120.00
Fractional positions:
V1 0.000 0.000 0.000
V2 0.000 0.000 0.500
Te1 0.333 0.667 0.250
Te2 0.667 0.333 0.750

Main lines, low angle first (5° ≤ 2θ ≤ 70°):
2θ = 29.08°, I 100; 2θ = 29.53°, I 7; 2θ = 39.06°, I 49; 2θ = 44.00°, I 42; 2θ = 52.11°, I 19; 2θ = 53.61°, I 18; 2θ = 53.88°, I 9; 2θ = 60.27°, I 13